Record 1
Diffraction record for AlPbF2. The powder XRD pattern is simulated, not measured: it uses the GGA-PBE geometry in Alexandria and copper Kα.
No peak broadening, texture or thermal motion is included.

Unit cell a=8.4430 b=8.4430 c=8.4430 alpha=90.00 beta=90.00 gamma=90.00
Space group Fd-3m (No. 227, origin choice 2)
Inequivalent atoms, fractional coordinates:
Al (0.1250, 0.1250, 0.1250) x8
Pb (0.1250, 0.1250, 0.6250) x8
F (0.0000, 0.0000, 0.0000) x16

Principal peaks in the range 15° ≤ 2θ ≤ 90°, sorted by position:
d 4.875, 2θ 18.2, I = 42, hkl 1 1 1; d 2.985, 2θ 29.9, I = 100, hkl 2 2 0; d 2.546, 2θ 35.3, I = 51, hkl 3 1 1; d 2.111, 2θ 42.8, I = 13, hkl 4 0 0; d 1.937, 2θ 46.9, I = 13, hkl 3 3 1; d 1.723, 2θ 53.1, I = 41, hkl 4 2 2; d 1.625, 2θ 56.6, I = 17, hkl 5 1 1; d 1.493, 2θ 62.2, I = 17, hkl 4 4 0; d 1.335, 2θ 70.5, I = 18, hkl 6 2 0; d 1.128, 2θ 86.2, I = 22, hkl 6 4 2

=====

Record 2
Diffraction record for Rb2AlPbF6. The powder XRD pattern is simulated, not measured: it uses the GGA-PBE geometry in Alexandria and copper Kα.
No peak broadening, texture or thermal motion is included.

Unit cell a=6.0151 b=8.4248 c=7.5336 alpha=90.00 beta=90.00 gamma=90.00
Space group Pmmn (No. 59, origin choice 2)
Inequivalent atoms, fractional coordinates:
Rb (0.2500, 0.0096, 0.1874) x4
Al (0.2500, 0.7500, 0.7890) x2
Pb (0.2500, 0.2500, 0.6833) x2
F (0.0258, 0.7500, 0.6262) x4
F (0.0370, 0.7500, 0.9665) x4
F (0.2500, 0.5270, 0.7938) x4

Principal peaks in the range 15° ≤ 2θ ≤ 90°, sorted by position:
d 4.895, 2θ 18.1, I = 32, hkl 1 1 0; d 3.767, 2θ 23.6, I = 27, hkl 0 0 2; d 3.192, 2θ 27.9, I = 26, hkl 1 0 2; d 3.137, 2θ 28.5, I = 100, hkl 1 2 1; d 3.008, 2θ 29.7, I = 26, hkl 2 0 0; d 2.350, 2θ 38.3, I = 23, hkl 2 0 2; d 2.157, 2θ 41.9, I = 27, hkl 0 2 3; d 2.107, 2θ 42.9, I = 22, hkl 0 4 0; d 1.759, 2θ 52.0, I = 27, hkl 3 2 1; d 1.568, 2θ 58.9, I = 20, hkl 2 4 2

=====

Record 3
Diffraction record for AlTlPdF6. The powder XRD pattern is simulated, not measured: it uses the GGA-PBE geometry in Alexandria and copper Kα.
No peak broadening, texture or thermal motion is included.

Unit cell a=5.4895 b=5.4895 c=5.9447 alpha=90.00 beta=90.00 gamma=120.00
Space group P312 (No. 149)
Inequivalent atoms, fractional coordinates:
Al (0.0000, 0.0000, 0.0000) x1
Tl (0.3333, 0.6667, 0.5000) x1
Pd (0.6667, 0.3333, 0.0000) x1
F (0.2830, 0.0151, 0.1768) x6

Principal peaks in the range 15° ≤ 2θ ≤ 90°, sorted by position:
d 4.754, 2θ 18.7, I = 16, hkl 1 0 0; d 3.713, 2θ 24.0, I = 100, hkl 1 0 1; d 2.745, 2θ 32.6, I = 23, hkl 1 1 0; d 2.520, 2θ 35.6, I = 12, hkl 1 0 2; d 2.207, 2θ 40.9, I = 22, hkl 2 0 1; d 2.017, 2θ 45.0, I = 32, hkl 2 -1 2; d 1.829, 2θ 49.9, I = 13, hkl 1 0 3; d 1.720, 2θ 53.3, I = 23, hkl 3 -1 1; d 1.331, 2θ 70.8, I = 10, hkl 2 1 3; d 1.287, 2θ 73.6, I = 9, hkl 3 1 1

=====

Record 4
Diffraction record for Rb2AlF6. The powder XRD pattern is simulated, not measured: it uses the GGA-PBE geometry in Alexandria and copper Kα.
No peak broadening, texture or thermal motion is included.

Unit cell a=6.0513 b=6.0513 c=9.8377 alpha=90.00 beta=90.00 gamma=120.00
Space group P6_3mc (No. 186)
Inequivalent atoms, fractional coordinates:
Rb (0.0000, 0.0000, 0.0000) x2
Rb (0.3333, 0.6667, 0.2802) x2
Al (0.3333, 0.6667, 0.6670) x2
F (0.0527, 0.5263, 0.5569) x6
F (0.1884, 0.3769, 0.7682) x6

Principal peaks in the range 15° ≤ 2θ ≤ 90°, sorted by position:
d 4.625, 2θ 19.2, I = 25, hkl 1 0 1; d 3.587, 2θ 24.8, I = 100, hkl 1 0 2; d 3.026, 2θ 29.5, I = 66, hkl 1 1 0; d 2.780, 2θ 32.2, I = 19, hkl 1 0 3; d 2.532, 2θ 35.5, I = 31, hkl 2 0 1; d 2.459, 2θ 36.5, I = 23, hkl 0 0 4; d 2.313, 2θ 38.9, I = 91, hkl 2 0 2; d 2.047, 2θ 44.2, I = 26, hkl 2 0 3; d 1.837, 2θ 49.6, I = 21, hkl 2 1 2; d 1.513, 2θ 61.3, I = 21, hkl 2 2 0

=====

Record 5
Diffraction record for Rb2AlRhF6. The powder XRD pattern is simulated, not measured: it uses the GGA-PBE geometry in Alexandria and copper Kα.
No peak broadening, texture or thermal motion is included.

Unit cell a=8.5440 b=8.5440 c=8.5440 alpha=90.00 beta=90.00 gamma=90.00
Space group Fm-3m (No. 225)
Inequivalent atoms, fractional coordinates:
Rb (0.2500, 0.2500, 0.2500) x8
Al (0.0000, 0.0000, 0.0000) x4
Rh (0.0000, 0.0000, 0.5000) x4
F (0.0000, 0.0000, 0.2157) x24

Principal peaks in the range 15° ≤ 2θ ≤ 90°, sorted by position:
d 4.933, 2θ 18.0, I = 8, hkl 1 1 1; d 3.021, 2θ 29.6, I = 100, hkl 2 2 0; d 2.576, 2θ 34.8, I = 13, hkl 3 1 1; d 2.466, 2θ 36.4, I = 11, hkl 2 2 2; d 2.136, 2θ 42.3, I = 41, hkl 4 0 0; d 1.960, 2θ 46.3, I = 10, hkl 3 3 1; d 1.744, 2θ 52.5, I = 36, hkl 4 2 2; d 1.510, 2θ 61.4, I = 23, hkl 4 4 0; d 1.351, 2θ 69.6, I = 20, hkl 6 2 0; d 1.142, 2θ 84.9, I = 22, hkl 6 4 2

=====

Record 6
Diffraction record for Rb2AlSnF6. The powder XRD pattern is simulated, not measured: it uses the GGA-PBE geometry in Alexandria and copper Kα.
No peak broadening, texture or thermal motion is included.

Unit cell a=5.9961 b=5.9961 c=10.6396 alpha=90.00 beta=90.00 gamma=90.00
Space group I4/mmm (No. 139)
Inequivalent atoms, fractional coordinates:
Rb (0.0000, 0.5000, 0.2500) x4
Al (0.0000, 0.0000, 0.0000) x2
Sn (0.0000, 0.0000, 0.5000) x2
F (0.0000, 0.0000, 0.1705) x4
F (0.2182, 0.2182, 0.0000) x8

Principal peaks in the range 15° ≤ 2θ ≤ 90°, sorted by position:
d 3.316, 2θ 26.9, I = 100, hkl 1 1 2; d 2.998, 2θ 29.8, I = 35, hkl 2 0 0; d 2.660, 2θ 33.7, I = 22, hkl 0 0 4; d 2.139, 2θ 42.3, I = 14, hkl 2 1 3; d 2.120, 2θ 42.6, I = 28, hkl 2 2 0; d 1.990, 2θ 45.6, I = 15, hkl 2 0 4; d 1.786, 2θ 51.1, I = 32, hkl 3 1 2; d 1.658, 2θ 55.4, I = 19, hkl 2 2 4; d 1.636, 2θ 56.2, I = 18, hkl 1 1 6; d 1.295, 2θ 73.1, I = 15, hkl 3 1 6

=====

Record 7
Diffraction record for RbSrAl2F8. The powder XRD pattern is simulated, not measured: it uses the GGA-PBE geometry in Alexandria and copper Kα.
No peak broadening, texture or thermal motion is included.

Unit cell a=5.5663 b=5.5663 c=27.9517 alpha=90.00 beta=90.00 gamma=120.00
Space group R-3 (No. 148, hexagonal axes)
Inequivalent atoms, fractional coordinates:
Rb (0.0000, 0.0000, 0.0000) x3
Sr (0.0000, 0.0000, 0.5000) x3
Al (0.0000, 0.0000, 0.2455) x6
F (0.0000, 0.0000, 0.3064) x6
F (0.0241, 0.3003, 0.2233) x18

Principal peaks in the range 15° ≤ 2θ ≤ 90°, sorted by position:
d 4.557, 2θ 19.5, I = 10, hkl 0 1 2; d 3.968, 2θ 22.4, I = 100, hkl 1 0 4; d 2.829, 2θ 31.6, I = 22, hkl 0 1 8; d 2.783, 2θ 32.2, I = 28, hkl 1 1 0; d 2.667, 2θ 33.6, I = 10, hkl 1 1 3; d 2.389, 2θ 37.6, I = 27, hkl 2 -1 6; d 2.279, 2θ 39.6, I = 13, hkl 0 2 4; d 1.786, 2θ 51.1, I = 18, hkl 1 1 12; d 1.763, 2θ 51.9, I = 15, hkl 2 1 4; d 1.607, 2θ 57.3, I = 13, hkl 3 0 0

=====

Record 8
Diffraction record for Rb2AlTeF6. The powder XRD pattern is simulated, not measured: it uses the GGA-PBE geometry in Alexandria and copper Kα.
No peak broadening, texture or thermal motion is included.

Unit cell a=6.9719 b=6.9719 c=8.1681 alpha=90.00 beta=90.00 gamma=90.00
Space group I4/mmm (No. 139)
Inequivalent atoms, fractional coordinates:
Rb (0.0000, 0.5000, 0.2500) x4
Al (0.0000, 0.0000, 0.0000) x2
Te (0.0000, 0.0000, 0.5000) x2
F (0.0000, 0.0000, 0.2357) x4
F (0.1824, 0.1824, 0.0000) x8

Principal peaks in the range 15° ≤ 2θ ≤ 90°, sorted by position:
d 3.486, 2θ 25.6, I = 71, hkl 2 0 0; d 3.145, 2θ 28.4, I = 100, hkl 1 1 2; d 2.913, 2θ 30.7, I = 24, hkl 2 1 1; d 2.465, 2θ 36.5, I = 45, hkl 2 2 0; d 1.940, 2θ 46.8, I = 37, hkl 3 1 2; d 1.762, 2θ 51.9, I = 20, hkl 2 0 4; d 1.573, 2θ 58.7, I = 21, hkl 2 2 4; d 1.559, 2θ 59.3, I = 18, hkl 4 2 0; d 1.525, 2θ 60.8, I = 16, hkl 3 3 2; d 1.239, 2θ 76.9, I = 16, hkl 4 2 4

=====

Record 9
Diffraction record for AlRe2F2. The powder XRD pattern is simulated, not measured: it uses the GGA-PBE geometry in Alexandria and copper Kα.
No peak broadening, texture or thermal motion is included.

Unit cell a=7.8364 b=7.8364 c=2.5779 alpha=90.00 beta=90.00 gamma=90.00
Space group P4/mbm (No. 127)
Inequivalent atoms, fractional coordinates:
Al (0.0000, 0.0000, 0.0000) x2
Re (0.1066, 0.3934, 0.5000) x4
F (0.2409, 0.7409, 0.0000) x4

Principal peaks in the range 15° ≤ 2θ ≤ 90°, sorted by position:
d 5.541, 2θ 16.0, I = 100, hkl 1 1 0; d 3.505, 2θ 25.4, I = 83, hkl 2 1 0; d 2.578, 2θ 34.8, I = 18, hkl 0 0 1; d 2.478, 2θ 36.3, I = 16, hkl 3 1 0; d 2.337, 2θ 38.5, I = 38, hkl 1 1 1; d 2.173, 2θ 41.6, I = 52, hkl 3 2 0; d 2.077, 2θ 43.6, I = 43, hkl 2 1 1; d 1.662, 2θ 55.3, I = 43, hkl 3 2 1; d 1.560, 2θ 59.2, I = 26, hkl 4 0 1; d 1.109, 2θ 88.1, I = 16, hkl 5 5 0

=====

Record 10
Diffraction record for AlSeF. The powder XRD pattern is simulated, not measured: it uses the GGA-PBE geometry in Alexandria and copper Kα.
No peak broadening, texture or thermal motion is included.

Unit cell a=3.9275 b=5.7452 c=5.9806 alpha=99.44 beta=109.12 gamma=90.34
Space group P-1 (No. 2)
Inequivalent atoms, fractional coordinates:
Al (0.1267, 0.4624, 0.2539) x2
Se (0.3264, 0.7518, 0.6486) x2
F (0.0402, 0.6984, 0.0803) x2

Principal peaks in the range 15° ≤ 2θ ≤ 90°, sorted by position:
d 5.656, 2θ 15.7, I = 47, hkl 0 1 0; d 4.368, 2θ 20.3, I = 69, hkl 0 1 -1; d 3.658, 2θ 24.3, I = 65, hkl 0 1 1; d 3.193, 2θ 27.9, I = 95, hkl 1 -1 0; d 3.176, 2θ 28.1, I = 95, hkl 1 1 -1; d 2.828, 2θ 31.6, I = 38, hkl 0 2 0; d 2.694, 2θ 33.3, I = 100, hkl 1 0 1; d 2.339, 2θ 38.5, I = 56, hkl 0 1 2; d 2.094, 2θ 43.2, I = 35, hkl 1 -2 1; d 1.964, 2θ 46.2, I = 39, hkl 2 0 -1

=====

Record 11
Diffraction record for SrAl2F8. The powder XRD pattern is simulated, not measured: it uses the GGA-PBE geometry in Alexandria and copper Kα.
No peak broadening, texture or thermal motion is included.

Unit cell a=10.0761 b=5.7736 c=5.3788 alpha=90.00 beta=97.08 gamma=90.00
Space group C2/m (No. 12)
Inequivalent atoms, fractional coordinates:
Sr (0.0000, 0.0000, 0.0000) x2
Al (0.2277, 0.5000, 0.4907) x4
F (0.1248, 0.5000, 0.7230) x4
F (0.1497, 0.2248, 0.3454) x8
F (0.1767, 0.0000, 0.7613) x4

Principal peaks in the range 15° ≤ 2θ ≤ 90°, sorted by position:
d 5.000, 2θ 17.7, I = 82, hkl 1 1 0; d 3.896, 2θ 22.8, I = 80, hkl 2 0 -1; d 3.767, 2θ 23.6, I = 62, hkl 1 1 -1; d 3.542, 2θ 25.1, I = 59, hkl 1 1 1; d 3.444, 2θ 25.9, I = 71, hkl 2 0 1; d 2.887, 2θ 31.0, I = 63, hkl 0 2 0; d 2.661, 2θ 33.7, I = 31, hkl 3 1 -1; d 2.212, 2θ 40.8, I = 100, hkl 2 2 1; d 1.948, 2θ 46.6, I = 33, hkl 4 0 -2; d 1.890, 2θ 48.2, I = 34, hkl 4 2 0

=====

Record 12
Diffraction record for Sr5Al3F19. The powder XRD pattern is simulated, not measured: it uses the GGA-PBE geometry in Alexandria and copper Kα.
No peak broadening, texture or thermal motion is included.

Unit cell a=14.3067 b=14.3067 c=7.2289 alpha=90.00 beta=90.00 gamma=90.00
Space group I4/m (No. 87)
Inequivalent atoms, fractional coordinates:
Sr (0.0000, 0.5000, 0.2500) x4
Sr (0.0553, 0.7802, 0.0000) x8
Sr (0.0751, 0.2469, 0.5000) x8
Al (0.0000, 0.0000, 0.2524) x4
Al (0.1594, 0.6784, 0.5000) x8
F (0.0000, 0.0000, 0.0000) x2
F (0.0000, 0.0000, 0.5000) x2
F (0.0444, 0.1186, 0.2419) x16
F (0.0486, 0.6127, 0.5000) x8
F (0.0739, 0.6160, 0.0000) x8
F (0.0954, 0.2980, 0.1745) x16
F (0.1038, 0.7535, 0.3271) x16
F (0.2345, 0.7531, 0.0000) x8

Principal peaks in the range 15° ≤ 2θ ≤ 90°, sorted by position:
d 3.577, 2θ 24.9, I = 37, hkl 4 0 0; d 3.478, 2θ 25.6, I = 54, hkl 2 3 1; d 3.226, 2θ 27.7, I = 43, hkl 2 0 2; d 3.199, 2θ 27.9, I = 69, hkl 4 2 0; d 3.128, 2θ 28.5, I = 100, hkl 1 4 1; d 2.941, 2θ 30.4, I = 54, hkl 2 2 2; d 2.216, 2θ 40.7, I = 48, hkl 5 1 2; d 2.046, 2θ 44.3, I = 34, hkl 6 3 1; d 2.030, 2θ 44.6, I = 37, hkl 5 3 2; d 1.979, 2θ 45.8, I = 38, hkl 4 1 3